[1]
Simulated powder X-ray diffraction pattern of Pr3NdCd4 for copper Kα, from a PBE-relaxed structure.

Top 8 peaks for 2θ = 10–90°, sorted by position:
- 32.62°, d = 2.745 Å, I 100
- 32.75°, d = 2.734 Å, I 49
- 46.62°, d = 1.948 Å, I 9
- 47.00°, d = 1.933 Å, I 18
- 58.14°, d = 1.587 Å, I 19
- 58.38°, d = 1.581 Å, I 37
- 68.35°, d = 1.372 Å, I 11
- 78.13°, d = 1.223 Å, I 16

Crystal structure
```
Pr3NdCd4
1.0
5.469 0.000 0.000
0.000 5.469 0.000
0.000 0.000 7.793
Pr Nd Cd
3 1 4
direct
0.000 0.000 0.000
0.000 0.000 0.500
0.500 0.500 0.000
0.500 0.500 0.500
0.000 0.500 0.252
0.000 0.500 0.748
0.500 0.000 0.252
0.500 0.000 0.748
```

***

[2]
Simulated powder X-ray diffraction pattern of Pr2NdCd2 for copper Kα, from a PBE-relaxed structure.

Top 8 peaks for 2θ = 10–90°, sorted by position:
- 31.40°, d = 2.849 Å, I 17
- 32.31°, d = 2.770 Å, I 100
- 45.63°, d = 1.988 Å, I 12
- 47.11°, d = 1.929 Å, I 7
- 56.49°, d = 1.629 Å, I 9
- 57.56°, d = 1.601 Å, I 15
- 58.24°, d = 1.584 Å, I 8
- 67.67°, d = 1.385 Å, I 7

Crystal structure
```
Pr2NdCd2
1.0
3.859 0.000 0.000
0.000 5.551 0.000
-1.938 0.000 14.244
Pr Nd Cd
4 2 4
direct
0.045 0.250 0.090
0.234 0.250 0.471
0.766 0.750 0.529
0.955 0.750 0.910
0.149 0.750 0.295
0.851 0.250 0.705
0.360 0.750 0.720
0.447 0.250 0.894
0.553 0.750 0.106
0.640 0.250 0.280
```